Record 1
The following is a calculated powder diffraction line list of TbHoSn4. It was derived from a structure optimized by DFT (PBE), using λ = 1.5418 Å (Cu Kα).
Neutral-atom scattering factors, no anomalous dispersion.

Structural model:
a = 4.343 Å, b = 4.426 Å, c = 16.334 Å
α = 90.00°, β = 90.00°, γ = 90.00°
Space group Amm2 (No. 38)
Inequivalent atoms, fractional coordinates:
Tb (0.000, 0.000, 0.000) (multiplicity 2)
Ho (0.500, 0.000, 0.197) (multiplicity 2)
Sn (0.000, 0.000, 0.350) (multiplicity 2)
Sn (0.000, 0.000, 0.663) (multiplicity 2)
Sn (0.500, 0.000, 0.535) (multiplicity 2)
Sn (0.500, 0.000, 0.846) (multiplicity 2)

Top 10 peaks for 2θ from 5° to 70°, sorted by position:
two_theta  d (Å)  intensity  index
32.90  2.722  204  0 0 6
33.26  2.694  1000  1 1 3
40.78  2.213  155  0 2 0
41.58  2.172  147  2 0 0
53.35  1.717  106  0 2 6
54.01  1.698  102  2 0 6
58.97  1.566  103  1 1 9
59.65  1.550  104  2 2 0
69.47  1.353  124  1 3 3
69.83  1.347  97  2 2 6

=====

Record 2
The following is a calculated powder diffraction line list of Zr2ScN3. It was derived from a structure optimized by DFT (PBE), using λ = 1.5418 Å (Cu Kα).
Neutral-atom scattering factors, no anomalous dispersion.

Structural model:
a = 3.222 Å, b = 4.559 Å, c = 9.713 Å
α = 90.00°, β = 90.00°, γ = 90.00°
Space group Immm (No. 71)
Inequivalent atoms, fractional coordinates:
Zr (0.000, 0.000, 0.165) (multiplicity 4)
Sc (0.000, 0.000, 0.500) (multiplicity 2)
N (0.000, 0.500, 0.164) (multiplicity 4)
N (0.000, 0.500, 0.500) (multiplicity 2)

Top 10 peaks for 2θ from 5° to 70°, sorted by position:
two_theta  d (Å)  intensity  index
18.27  4.856  61  0 0 2
21.53  4.127  108  0 1 1
29.20  3.058  53  1 0 1
33.96  2.640  506  0 1 3
34.07  2.631  502  1 1 0
39.48  2.282  1000  1 0 3
56.88  1.619  104  0 0 6
57.10  1.613  517  2 0 0
67.99  1.379  138  1 1 6
68.19  1.375  273  2 1 3

=====

Record 3
The following is a calculated powder diffraction line list of Cu2Ag7. It was derived from a structure optimized by DFT (PBE), using λ = 1.5418 Å (Cu Kα).
Neutral-atom scattering factors, no anomalous dispersion.

Structural model:
a = 4.018 Å, b = 8.616 Å, c = 8.620 Å
α = 90.00°, β = 90.00°, γ = 90.00°
Space group Immm (No. 71)
Inequivalent atoms, fractional coordinates:
Cu (0.000, 0.000, 0.163) (multiplicity 4)
Ag (0.000, 0.000, 0.500) (multiplicity 2)
Ag (0.000, 0.334, 0.170) (multiplicity 8)
Ag (0.000, 0.341, 0.500) (multiplicity 4)

Top 10 peaks for 2θ from 5° to 70°, sorted by position:
two_theta  d (Å)  intensity  index
20.62  4.308  8  0 2 0
24.44  3.642  23  1 1 0
29.31  3.047  7  0 2 2
32.18  2.781  10  1 2 1
32.86  2.725  10  0 1 3
38.52  2.337  1000  1 3 0
44.61  2.031  323  0 3 3
45.13  2.009  157  2 0 0
64.92  1.436  98  0 0 6
65.33  1.428  194  2 3 3

=====

Record 4
The following is a calculated powder diffraction line list of Er2H5. It was derived from a structure optimized by DFT (PBE), using λ = 1.5418 Å (Cu Kα).
Neutral-atom scattering factors, no anomalous dispersion.

Structural model:
a = 5.032 Å, b = 5.032 Å, c = 10.204 Å
α = 90.00°, β = 90.00°, γ = 90.00°
Space group I4_1/amd (No. 141, origin choice 2)
Inequivalent atoms, fractional coordinates:
Er (0.000, 0.250, 0.123) (multiplicity 8)
H (0.000, 0.250, 0.875) (multiplicity 4)
H (0.234, 0.000, 0.500) (multiplicity 16)

Top 8 peaks for 2θ from 5° to 70°, sorted by position:
two_theta  d (Å)  intensity  index
30.63  2.918  1000  1 1 2
35.18  2.551  170  0 0 4
35.69  2.516  329  2 0 0
50.98  1.791  253  2 0 4
51.36  1.779  124  2 2 0
60.32  1.534  147  1 1 6
61.00  1.519  286  3 1 2
63.79  1.459  124  2 2 4

=====

Record 5
The following is a calculated powder diffraction line list of CdBiW4C2. It was derived from a structure optimized by DFT (PBE), using λ = 1.5418 Å (Cu Kα).
Neutral-atom scattering factors, no anomalous dispersion.

Structural model:
a = 3.1463 Å, b = 3.1463 Å, c = 14.6206 Å
α = 90.00°, β = 90.00°, γ = 120.00°
Space group P-6m2 (No. 187)
Inequivalent atoms, fractional coordinates:
Cd (0.0000, 0.0000, 0.0000) (multiplicity 1)
Bi (0.6667, 0.3333, 0.5000) (multiplicity 1)
W (0.0000, 0.0000, 0.3179) (multiplicity 2)
W (0.6667, 0.3333, 0.1657) (multiplicity 2)
C (0.3333, 0.6667, 0.2433) (multiplicity 2)

Top 10 peaks for 2θ from 5° to 70°, sorted by position:
two_theta  d (Å)  intensity  index
6.05  14.621  36  0 0 1
12.11  7.310  48  0 0 2
32.87  2.725  234  1 0 0
35.15  2.553  28  1 0 2
36.89  2.437  208  0 0 6
37.83  2.378  1000  1 0 3
50.23  1.816  156  1 0 6
58.69  1.573  199  1 1 0
67.08  1.395  152  1 0 9
68.92  1.362  29  2 0 0

=====

Record 6
The following is a calculated powder diffraction line list of Cu2Ag3. It was derived from a structure optimized by DFT (PBE), using λ = 1.5418 Å (Cu Kα).
Neutral-atom scattering factors, no anomalous dispersion.

Structural model:
a = 3.984 Å, b = 3.936 Å, c = 19.893 Å
α = 90.00°, β = 90.00°, γ = 90.00°
Space group Amm2 (No. 38)
Inequivalent atoms, fractional coordinates:
Cu (0.000, 0.000, 0.000) (multiplicity 2)
Cu (0.000, 0.000, 0.195) (multiplicity 2)
Cu (0.000, 0.000, 0.790) (multiplicity 2)
Cu (0.500, 0.000, 0.097) (multiplicity 2)
Ag (0.000, 0.000, 0.396) (multiplicity 2)
Ag (0.000, 0.000, 0.597) (multiplicity 2)
Ag (0.500, 0.000, 0.292) (multiplicity 2)
Ag (0.500, 0.000, 0.500) (multiplicity 2)
Ag (0.500, 0.000, 0.693) (multiplicity 2)
Ag (0.500, 0.000, 0.895) (multiplicity 2)

Top 10 peaks for 2θ from 5° to 70°, sorted by position:
two_theta  d (Å)  intensity  index
23.04  3.861  27  0 1 1
28.71  3.109  14  1 0 4
34.78  2.579  9  1 1 3
35.22  2.548  9  1 0 6
39.35  2.290  1000  1 1 5
45.54  1.992  164  2 0 0
45.60  1.989  157  0 0 10
46.13  1.968  157  0 2 0
66.42  1.408  95  2 0 10
66.85  1.399  190  2 2 0

=====

Record 7
The following is a calculated powder diffraction line list of Pr2Dy2CCl5. It was derived from a structure optimized by DFT (PBE), using λ = 1.5418 Å (Cu Kα).
Neutral-atom scattering factors, no anomalous dispersion.

Structural model:
a = 17.326 Å, b = 3.852 Å, c = 8.210 Å
α = 90.00°, β = 103.30°, γ = 90.00°
Space group C2/m (No. 12)
Inequivalent atoms, fractional coordinates:
Pr (0.002, 0.000, 0.285) (multiplicity 4)
Dy (0.143, 0.500, 0.578) (multiplicity 4)
C (0.000, 0.500, 0.500) (multiplicity 2)
Cl (0.000, 0.500, 0.000) (multiplicity 2)
Cl (0.169, 0.000, 0.818) (multiplicity 4)
Cl (0.176, 0.000, 0.361) (multiplicity 4)

Top 10 peaks for 2θ from 5° to 70°, sorted by position:
two_theta  d (Å)  intensity  index
10.49  8.430  260  2 0 0
11.07  7.990  829  0 0 1
21.45  4.142  153  4 0 -1
28.08  3.177  242  3 1 0
31.63  2.829  198  3 1 1
31.86  2.809  1000  1 1 -2
35.38  2.537  151  5 1 0
40.51  2.227  136  1 1 -3
45.55  1.991  188  5 1 2
45.78  1.982  172  7 1 -2

=====

Record 8
The following is a calculated powder diffraction line list of Ho2Fe4B4Ir. It was derived from a structure optimized by DFT (PBE), using λ = 1.5418 Å (Cu Kα).
Neutral-atom scattering factors, no anomalous dispersion.

Structural model:
a = 5.060 Å, b = 9.638 Å, c = 10.903 Å
α = 90.00°, β = 90.00°, γ = 90.00°
Space group Fmmm (No. 69)
Inequivalent atoms, fractional coordinates:
Ho (0.000, 0.000, 0.148) (multiplicity 8)
Fe (0.250, 0.250, 0.000) (multiplicity 8)
Fe (0.250, 0.250, 0.250) (multiplicity 8)
B (0.000, 0.161, 0.363) (multiplicity 16)
Ir (0.000, 0.000, 0.500) (multiplicity 4)

Top 10 peaks for 2θ from 5° to 70°, sorted by position:
two_theta  d (Å)  intensity  index
18.41  4.819  257  0 2 0
31.70  2.822  1000  1 1 3
37.32  2.409  376  0 4 0
40.26  2.240  617  2 2 0
41.55  2.174  565  1 3 3
53.93  1.700  139  0 2 6
57.07  1.614  197  1 5 3
61.35  1.511  156  3 1 3
67.85  1.381  132  3 3 3
69.29  1.356  133  2 6 0

=====

Record 9
The following is a calculated powder diffraction line list of TbErAg2S4. It was derived from a structure optimized by DFT (PBE), using λ = 1.5418 Å (Cu Kα).
Neutral-atom scattering factors, no anomalous dispersion.

Structural model:
a = 9.235 Å, b = 9.251 Å, c = 4.112 Å
α = 90.00°, β = 90.00°, γ = 90.00°
Space group Cmm2 (No. 35)
Inequivalent atoms, fractional coordinates:
Tb (0.000, 0.000, 0.000) (multiplicity 2)
Er (0.000, 0.500, 0.549) (multiplicity 2)
Ag (0.250, 0.250, 0.775) (multiplicity 4)
S (0.000, 0.302, 0.044) (multiplicity 4)
S (0.202, 0.000, 0.506) (multiplicity 4)

Top 10 peaks for 2θ from 5° to 70°, sorted by position:
two_theta  d (Å)  intensity  index
21.61  4.112  287  0 0 1
25.59  3.481  854  1 1 1
27.29  3.268  913  2 2 0
29.07  3.072  382  0 2 1
35.08  2.558  412  2 2 1
37.76  2.382  1000  1 3 1
38.98  2.311  742  4 0 0
47.22  1.925  378  3 3 1
48.46  1.879  583  0 2 2
63.86  1.458  428  4 2 2

=====

Record 10
The following is a calculated powder diffraction line list of Bi2Au7. It was derived from a structure optimized by DFT (PBE), using λ = 1.5418 Å (Cu Kα).
Neutral-atom scattering factors, no anomalous dispersion.

Structural model:
a = 3.2554 Å, b = 3.2554 Å, c = 30.8729 Å
α = 90.00°, β = 90.00°, γ = 120.00°
Space group P-3m1 (No. 164)
Inequivalent atoms, fractional coordinates:
Bi (0.3333, 0.6667, 0.2185) (multiplicity 2)
Au (0.0000, 0.0000, 0.2951) (multiplicity 2)
Au (0.0000, 0.0000, 0.5000) (multiplicity 1)
Au (0.3333, 0.6667, 0.4320) (multiplicity 2)
Au (0.3333, 0.6667, 0.6360) (multiplicity 2)

Top 10 peaks for 2θ from 5° to 70°, sorted by position:
two_theta  d (Å)  intensity  index
5.73  15.436  592  0 0 2
33.85  2.648  471  1 0 4
34.99  2.565  1000  1 0 5
36.34  2.472  116  1 0 6
40.92  2.205  172  0 0 14
41.46  2.178  390  0 1 9
43.47  2.082  470  0 1 10
56.57  1.627  390  1 1 0
66.40  1.408  149  1 0 19
68.23  1.375  182  0 2 5

=====

Record 11
The following is a calculated powder diffraction line list of CuTe4Ir2. It was derived from a structure optimized by DFT (PBE), using λ = 1.5418 Å (Cu Kα).
Neutral-atom scattering factors, no anomalous dispersion.

Structural model:
a = 11.133 Å, b = 11.133 Å, c = 11.133 Å
α = 90.00°, β = 90.00°, γ = 90.00°
Space group Fd-3m (No. 227, origin choice 2)
Inequivalent atoms, fractional coordinates:
Cu (0.125, 0.125, 0.125) (multiplicity 8)
Te (0.011, 0.011, 0.739) (multiplicity 32)
Ir (0.000, 0.000, 0.500) (multiplicity 16)

Top 10 peaks for 2θ from 5° to 70°, sorted by position:
two_theta  d (Å)  intensity  index
13.78  6.428  572  1 1 1
26.55  3.357  516  3 1 1
32.16  2.783  1000  4 0 0
42.18  2.143  386  5 1 1
46.12  1.968  982  4 4 0
48.37  1.882  148  5 3 1
57.34  1.607  238  4 4 4
59.27  1.559  114  5 5 1
64.26  1.449  119  5 5 3
67.28  1.392  146  8 0 0

=====

Record 12
The following is a calculated powder diffraction line list of Dy2IBrN. It was derived from a structure optimized by DFT (PBE), using λ = 1.5418 Å (Cu Kα).
Neutral-atom scattering factors, no anomalous dispersion.

Structural model:
a = 3.7175 Å, b = 3.7175 Å, c = 10.3258 Å
α = 90.00°, β = 90.00°, γ = 120.00°
Space group P3m1 (No. 156)
Inequivalent atoms, fractional coordinates:
Dy (0.0000, 0.0000, 0.0000) (multiplicity 1)
Dy (0.3333, 0.6667, 0.2469) (multiplicity 1)
I (0.3333, 0.6667, 0.7894) (multiplicity 1)
Br (0.0000, 0.0000, 0.4341) (multiplicity 1)
N (0.6667, 0.3333, 0.1254) (multiplicity 1)

Top 10 peaks for 2θ from 5° to 70°, sorted by position:
two_theta  d (Å)  intensity  index
8.56  10.326  462  0 0 1
27.71  3.219  269  1 0 0
32.78  2.732  1000  1 0 2
34.75  2.581  105  0 0 4
38.28  2.351  199  1 0 3
45.01  2.014  154  0 1 4
49.01  1.859  256  1 1 0
60.22  1.537  173  0 2 2
61.47  1.508  124  1 1 4
67.84  1.382  93  1 1 5